Starting from the GGA-PBE geometry in the Materials Project, the X-ray powder pattern of RePbClO4 was calculated for Cu Kα (λ = 1.5418 Å).
Kinematic intensities with the Lorentz-polarization factor, no thermal factor.

Atomic structure:
Lattice parameters (Å, degrees): 5.8348 9.6014 4.6845 90.00 90.00 90.00
Space group Pmn2_1 (No. 31)
Asymmetric unit:
Re: 0.0000 0.1324 0.0000 (multiplicity 2)
Pb: 0.0000 0.6759 0.0116 (multiplicity 2)
Cl: 0.0000 0.4672 0.4259 (multiplicity 2)
O: 0.0000 0.1334 0.3707 (multiplicity 2)
O: 0.0000 0.9583 0.8892 (multiplicity 2)
O: 0.2499 0.2204 0.8870 (multiplicity 4)

Largest 10 diffraction maxima, in order of rising 2θ, 2θ from 15° to 90°:
3.707 Å, 24.00°, intensity 94.7, (1 2 0); 3.653 Å, 24.37°, intensity 100.0, (1 0 1); 3.353 Å, 26.59°, intensity 78.4, (0 2 1); 2.917 Å, 30.64°, intensity 40.2, (2 0 0); 2.907 Å, 30.76°, intensity 21.6, (1 2 1); 2.342 Å, 38.43°, intensity 21.5, (0 0 2); 2.201 Å, 41.01°, intensity 46.0, (2 2 1); 1.980 Å, 45.83°, intensity 34.0, (1 2 2); 1.826 Å, 49.93°, intensity 19.1, (2 0 2); 1.797 Å, 50.82°, intensity 19.9, (3 0 1)

Starting from the GGA-PBE geometry in the Materials Project, the X-ray powder pattern of Sr2LiLa2RuO8 was calculated for Cu Kα (λ = 1.5418 Å).
Kinematic intensities with the Lorentz-polarization factor, no thermal factor.

Atomic structure:
Lattice parameters (Å, degrees): 5.9982 6.0216 24.8510 88.94 89.00 83.92
Space group P1 (No. 1)
Asymmetric unit:
Sr: 0.0000 0.0000 0.0000 (multiplicity 1)
Sr: 0.0004 0.4930 0.7529 (multiplicity 1)
Sr: 0.0139 0.9733 0.5033 (multiplicity 1)
Sr: 0.0788 0.5824 0.1169 (multiplicity 1)
Sr: 0.0940 0.0516 0.8675 (multiplicity 1)
Sr: 0.4972 0.9882 0.2531 (multiplicity 1)
Sr: 0.5844 0.0771 0.6171 (multiplicity 1)
Sr: 0.5989 0.5594 0.3669 (multiplicity 1)
Li: 0.0461 0.5415 0.4309 (multiplicity 1)
Li: 0.0666 0.0236 0.1804 (multiplicity 1)
Li: 0.5488 0.0307 0.9316 (multiplicity 1)
Li: 0.5543 0.5138 0.6873 (multiplicity 1)
La: 0.0158 0.4577 0.2505 (multiplicity 1)
La: 0.0863 0.0988 0.3688 (multiplicity 1)
La: 0.1184 0.5633 0.6196 (multiplicity 1)
La: 0.4753 0.4843 0.5013 (multiplicity 1)
La: 0.4951 0.4497 0.0047 (multiplicity 1)
La: 0.5066 0.9552 0.7512 (multiplicity 1)
La: 0.5935 0.5976 0.8679 (multiplicity 1)
La: 0.6312 0.0638 0.1193 (multiplicity 1)
Ru: 0.0430 0.0299 0.6857 (multiplicity 1)
Ru: 0.0495 0.5234 0.9341 (multiplicity 1)
Ru: 0.5412 0.5263 0.1863 (multiplicity 1)
Ru: 0.5536 0.0199 0.4344 (multiplicity 1)
O: 0.0169 0.4872 0.8550 (multiplicity 1)
O: 0.0206 0.9897 0.6059 (multiplicity 1)
O: 0.0777 0.0484 0.7655 (multiplicity 1)
O: 0.0913 0.5519 0.0140 (multiplicity 1)
O: 0.1075 0.5856 0.5305 (multiplicity 1)
O: 0.1096 0.0904 0.2800 (multiplicity 1)
O: 0.2761 0.2437 0.6807 (multiplicity 1)
O: 0.2833 0.2641 0.9379 (multiplicity 1)
O: 0.2838 0.7307 0.9270 (multiplicity 1)
O: 0.2915 0.7592 0.1884 (multiplicity 1)
O: 0.2942 0.7716 0.6862 (multiplicity 1)
O: 0.2995 0.2770 0.4340 (multiplicity 1)
O: 0.3242 0.8032 0.4410 (multiplicity 1)
O: 0.3286 0.2941 0.1901 (multiplicity 1)
O: 0.4869 0.4638 0.5906 (multiplicity 1)
O: 0.4897 0.9695 0.8406 (multiplicity 1)
O: 0.5159 0.9944 0.3549 (multiplicity 1)
O: 0.5179 0.4932 0.1026 (multiplicity 1)
O: 0.5764 0.0616 0.5142 (multiplicity 1)
O: 0.5784 0.5466 0.2649 (multiplicity 1)
O: 0.5889 0.0989 0.0296 (multiplicity 1)
O: 0.6060 0.5845 0.7787 (multiplicity 1)
O: 0.7636 0.7444 0.1802 (multiplicity 1)
O: 0.7686 0.2480 0.4277 (multiplicity 1)
O: 0.7967 0.7799 0.4345 (multiplicity 1)
O: 0.8012 0.2814 0.1852 (multiplicity 1)
O: 0.8040 0.3247 0.9421 (multiplicity 1)
O: 0.8069 0.2772 0.6845 (multiplicity 1)
O: 0.8165 0.7880 0.9297 (multiplicity 1)
O: 0.8229 0.8069 0.6918 (multiplicity 1)
O: 0.9858 0.9692 0.0951 (multiplicity 1)
O: 0.9918 0.4708 0.3402 (multiplicity 1)

Largest 10 diffraction maxima, in order of rising 2θ, 2θ from 15° to 90°:
4.885 Å, 18.16°, intensity 32.3, (0 1 3); 4.237 Å, 20.97°, intensity 59.3, (1 1 2); 2.998 Å, 29.81°, intensity 100.0, (1 1 -6); 2.982 Å, 29.97°, intensity 46.3, (2 0 0); 2.884 Å, 31.01°, intensity 65.7, (1 -1 6); 2.676 Å, 33.49°, intensity 22.7, (0 2 -4); 2.194 Å, 41.15°, intensity 30.6, (1 1 10); 2.117 Å, 42.71°, intensity 32.8, (2 2 4); 2.009 Å, 45.13°, intensity 30.2, (2 -2 0); 1.689 Å, 54.32°, intensity 21.3, (2 0 -12)

Starting from the GGA-PBE geometry in the Materials Project, the X-ray powder pattern of CoMo was calculated for Cu Kα (λ = 1.5418 Å).
Kinematic intensities with the Lorentz-polarization factor, no thermal factor.

Atomic structure:
Lattice parameters (Å, degrees): 2.6949 2.6949 4.1836 90.00 90.00 120.00
Space group P-6m2 (No. 187)
Asymmetric unit:
Co: 0.0000 0.0000 0.0000 (multiplicity 1)
Mo: 0.6667 0.3333 0.5000 (multiplicity 1)

Largest 10 diffraction maxima, in order of rising 2θ, 2θ from 15° to 90°:
4.184 Å, 21.24°, intensity 7.8, (0 0 1); 2.334 Å, 38.58°, intensity 28.7, (1 0 0); 2.092 Å, 43.25°, intensity 23.7, (0 0 2); 2.038 Å, 44.45°, intensity 100.0, (1 0 1); 1.558 Å, 59.33°, intensity 15.5, (1 0 2); 1.347 Å, 69.80°, intensity 16.0, (1 1 0); 1.197 Å, 80.18°, intensity 16.7, (1 0 3); 1.167 Å, 82.70°, intensity 3.0, (2 0 0); 1.133 Å, 85.77°, intensity 18.6, (1 1 2); 1.124 Å, 86.61°, intensity 14.0, (2 0 1)